Diffraction record for Rb2VPF6. The powder X-ray diffraction pattern is theoretical, not measured: it uses the PBE+U geometry in Alexandria and Cu Kα X-rays.
Intensities are scaled so that the largest is 100.

Peak list (10 most intense, 10 to 90 degrees two-theta, low angle first)
2θ = 27.44°, I 100.0
2θ = 31.20°, I 31.9
2θ = 32.93°, I 33.4
2θ = 35.39°, I 38.8
2θ = 44.71°, I 33.0
2θ = 46.00°, I 14.5
2θ = 53.26°, I 30.0
2θ = 55.52°, I 19.7
2θ = 56.63°, I 24.7
2θ = 73.93°, I 21.6

Structure:
Cell lengths 6.7843, 6.7843, 6.7843 Å; angles 130.01, 130.01, 73.39 degrees
Element x y z (fractional)
Rb (0.2500, 0.7500, 0.5000)
Rb (0.7500, 0.2500, 0.5000)
V (0.0000, 0.0000, 0.0000)
P (0.5000, 0.5000, 0.0000)
F (0.1871, 0.1871, 0.0000)
F (0.2577, 0.2577, 0.5153)
F (0.2577, 0.7423, 0.0000)
F (0.7423, 0.2577, 0.0000)
F (0.7423, 0.7423, 0.4847)
F (0.8129, 0.8129, 0.0000)